The following is a calculated X-ray powder pattern of DyY12Ho2. It was derived from a crystal structure in Alexandria, relaxed with GGA-PBE, using CuKα.

Main lines, sorted by position (2θ from 10° to 90°):
31.03°, intensity 38; 31.57°, intensity 56; 32.23°, intensity 100; 32.46°, intensity 36; 32.59°, intensity 50; 33.51°, intensity 26

Crystal structure
```
DyY12Ho2
1.0
3.437 -5.517 0.000
3.437 5.517 0.000
-2.975 0.000 25.740
Dy Y Ho
2 24 4
Cartesian
0.000 0.000 0.000
3.433 0.000 0.029
1.719 2.771 1.619
0.018 0.000 3.198
-0.120 0.000 9.041
2.155 3.599 11.507
-1.265 0.000 22.653
0.463 2.744 23.844
-0.024 0.000 14.171
2.246 3.547 17.127
3.435 2.800 5.042
2.183 2.712 20.621
3.554 2.031 8.571
1.719 -2.771 1.619
2.337 0.000 11.411
3.428 0.000 3.207
3.479 1.872 14.249
2.151 0.000 16.726
2.190 0.000 22.641
0.463 -2.744 23.844
2.155 -3.599 11.507
3.435 -2.800 5.042
3.554 -2.031 8.571
2.183 -2.712 20.621
3.479 -1.872 14.249
2.246 -3.547 17.127
1.781 0.000 6.292
0.409 0.000 19.539
5.125 0.000 6.157
3.976 0.000 19.504
```

The following is a calculated X-ray powder pattern of SrMg6SiO8. It was derived from a crystal structure in Alexandria, relaxed with GGA-PBE, using CuKα.

Main lines, sorted by position (2θ from 10° to 90°):
34.57°, intensity 36; 39.92°, intensity 100; 40.56°, intensity 44; 57.74°, intensity 30; 58.22°, intensity 53; 72.93°, intensity 25

Crystal structure
```
SrMg6SiO8
1.0
4.516 0.000 0.000
0.000 4.516 0.000
0.000 0.000 8.897
Sr Mg Si O
1 6 1 8
Cartesian
0.000 0.000 0.000
0.000 0.000 4.448
0.000 2.258 2.368
0.000 2.258 6.528
2.258 0.000 2.368
2.258 0.000 6.528
2.258 2.258 4.448
2.258 2.258 0.000
0.000 0.000 2.435
0.000 0.000 6.462
0.000 2.258 0.000
0.000 2.258 4.448
2.258 0.000 0.000
2.258 0.000 4.448
2.258 2.258 2.362
2.258 2.258 6.535
```

The following is a calculated X-ray powder pattern of Na2MgIn. It was derived from a crystal structure in Alexandria, relaxed with GGA-PBE, using CuKα.

Main lines, sorted by position (2θ from 10° to 90°):
15.90°, intensity 58; 30.72°, intensity 68; 32.12°, intensity 67; 33.14°, intensity 100; 35.73°, intensity 80; 63.99°, intensity 40

Crystal structure
```
Na2MgIn
1.0
3.412 0.000 0.000
-1.706 2.955 0.000
0.000 0.000 33.436
Na Mg In
6 3 3
Cartesian
0.000 0.000 0.000
0.000 0.000 5.651
0.000 1.970 22.291
0.000 1.970 27.941
1.706 0.985 11.145
1.706 0.985 16.796
0.000 0.000 25.112
0.000 1.970 13.967
1.706 0.985 2.821
0.000 0.000 19.546
0.000 1.970 8.401
1.706 0.985 30.691
```

The following is a calculated X-ray powder pattern of CeAsO2. It was derived from a crystal structure in Alexandria, relaxed with GGA-PBE, using CuKα.

Main lines, sorted by position (2θ from 10° to 90°):
29.77°, intensity 100; 39.16°, intensity 87; 45.82°, intensity 56; 61.82°, intensity 21; 65.24°, intensity 24; 80.26°, intensity 20

Crystal structure
```
CeAsO2
1.0
3.960 0.000 0.000
-1.980 3.430 0.000
0.000 0.000 12.407
Ce As O
3 3 6
Cartesian
0.000 0.000 0.000
0.000 2.287 8.271
1.980 1.143 4.136
0.000 0.000 6.203
0.000 2.287 2.068
1.980 1.143 10.339
0.000 0.000 2.914
0.000 0.000 9.493
0.000 2.287 5.357
0.000 2.287 11.185
1.980 1.143 1.222
1.980 1.143 7.050
```

The following is a calculated X-ray powder pattern of PaPd15Pb4. It was derived from a crystal structure in Alexandria, relaxed with GGA-PBE, using CuKα.

Main lines, sorted by position (2θ from 10° to 90°):
21.57°, intensity 10; 37.83°, intensity 100; 43.97°, intensity 49; 63.93°, intensity 32; 76.74°, intensity 37; 80.84°, intensity 11

Crystal structure
```
PaPd15Pb4
1.0
4.118 0.000 0.000
0.000 4.118 0.000
0.000 0.000 20.604
Pa Pd Pb
1 15 4
Cartesian
0.000 0.000 0.000
0.000 2.059 1.989
0.000 2.059 6.204
0.000 2.059 10.302
0.000 2.059 14.400
0.000 2.059 18.616
2.059 0.000 1.989
2.059 0.000 6.204
2.059 0.000 10.302
2.059 0.000 14.400
2.059 0.000 18.616
2.059 2.059 0.000
2.059 2.059 4.092
2.059 2.059 8.239
2.059 2.059 12.366
2.059 2.059 16.512
0.000 0.000 4.217
0.000 0.000 8.272
0.000 0.000 12.332
0.000 0.000 16.387
```

The following is a calculated X-ray powder pattern of Y2HoHg8. It was derived from a crystal structure in Alexandria, relaxed with GGA-PBE, using CuKα.

Main lines, sorted by position (2θ from 10° to 90°):
32.65°, intensity 24; 35.24°, intensity 100; 35.40°, intensity 32; 37.17°, intensity 18; 52.27°, intensity 14; 63.45°, intensity 18

Crystal structure
```
Y2HoHg8
1.0
-2.535 3.713 7.258
2.535 -3.713 7.258
2.535 3.713 -7.258
Y Ho Hg
2 1 8
Cartesian
0.000 0.000 2.839
0.000 0.000 11.676
0.000 0.000 7.258
2.535 1.567 -2.087
0.000 1.550 0.000
2.535 0.000 4.979
2.535 1.567 2.087
0.000 2.146 5.170
0.000 3.713 2.278
0.000 5.876 0.000
0.000 2.146 9.345
```

The following is a calculated X-ray powder pattern of HfTiCrP2. It was derived from a crystal structure in Alexandria, relaxed with GGA-PBE, using CuKα.

Main lines, sorted by position (2θ from 10° to 90°):
18.18°, intensity 100; 25.82°, intensity 61; 26.09°, intensity 73; 36.84°, intensity 59; 45.71°, intensity 33; 53.68°, intensity 39

Crystal structure
```
HfTiCrP2
1.0
4.879 0.000 0.000
0.000 4.879 0.000
0.000 0.000 4.781
Hf Ti Cr P
1 1 1 2
Cartesian
0.000 0.000 0.000
2.439 2.439 2.391
0.000 0.000 2.391
0.000 2.439 0.000
2.439 0.000 0.000
```

The following is a calculated X-ray powder pattern of Ba3Fe2N4. It was derived from a crystal structure in Alexandria, relaxed with GGA-PBE, using CuKα.

Main lines, sorted by position (2θ from 10° to 90°):
27.76°, intensity 85; 30.23°, intensity 100; 30.39°, intensity 43; 31.51°, intensity 52; 35.06°, intensity 72; 35.27°, intensity 46

Crystal structure
```
Ba3Fe2N4
1.0
6.145 0.000 0.000
0.000 10.169 0.000
0.000 0.000 10.118
Ba Fe N
12 8 16
Cartesian
0.680 1.607 0.866
0.680 3.477 4.193
1.536 0.000 4.080
1.536 5.084 0.979
2.393 6.692 4.193
2.393 8.561 0.866
3.752 1.607 9.252
3.752 3.477 5.925
4.609 0.000 6.038
4.609 5.084 9.138
5.465 6.692 5.925
5.465 8.561 9.252
0.948 2.542 7.588
1.536 0.000 7.428
1.536 5.084 7.748
2.124 7.627 7.588
4.021 2.542 2.529
4.609 0.000 2.689
4.609 5.084 2.370
5.197 7.627 2.529
0.201 0.904 8.369
0.201 4.180 6.807
0.940 6.515 8.732
0.940 8.738 6.444
2.133 1.431 6.444
2.133 3.654 8.732
2.872 5.989 6.807
2.872 9.265 8.369
3.273 0.904 1.749
3.273 4.180 3.310
4.012 6.515 1.386
4.012 8.738 3.673
5.205 1.431 3.673
5.205 3.654 1.386
5.944 5.989 3.310
5.944 9.265 1.749
```

The following is a calculated X-ray powder pattern of LaTb4Dy4. It was derived from a crystal structure in Alexandria, relaxed with GGA-PBE, using CuKα.

Main lines, sorted by position (2θ from 10° to 90°):
28.83°, intensity 37; 31.03°, intensity 51; 31.83°, intensity 100; 33.52°, intensity 91; 50.69°, intensity 39; 60.60°, intensity 30

Crystal structure
```
LaTb4Dy4
1.0
6.239 0.000 0.000
1.050 8.829 0.000
0.012 2.183 10.582
La Tb Dy
2 8 8
Cartesian
2.615 9.375 2.648
4.686 1.637 7.935
1.561 6.167 1.470
1.566 6.905 5.015
1.587 7.632 8.529
2.610 3.014 0.277
4.691 7.999 10.306
5.714 3.381 2.054
5.734 4.108 5.568
5.740 4.846 9.112
1.566 2.004 9.701
1.571 1.275 6.170
2.601 4.473 7.340
2.618 3.754 3.827
4.683 7.258 6.755
4.700 6.539 3.242
5.729 9.737 4.413
5.735 9.008 0.881
```

The following is a calculated X-ray powder pattern of Ga2PPbO6. It was derived from a crystal structure in Alexandria, relaxed with GGA-PBE, using CuKα.

Main lines, sorted by position (2θ from 10° to 90°):
12.14°, intensity 100; 15.37°, intensity 48; 24.70°, intensity 82; 29.50°, intensity 47; 32.05°, intensity 51; 32.53°, intensity 50

Crystal structure
```
Ga2PPbO6
1.0
5.200 -5.763 0.000
5.200 5.763 0.000
-2.475 0.000 5.278
Ga P Pb O
4 2 2 12
Cartesian
1.777 0.923 0.807
0.540 -0.923 3.446
7.385 0.923 1.831
6.148 -0.923 4.470
4.581 2.920 1.319
3.344 -2.920 3.958
3.344 0.717 3.958
4.581 -0.717 1.319
4.707 3.801 0.041
3.302 2.064 1.220
1.259 0.451 2.490
4.456 3.801 2.598
0.022 -0.451 5.129
5.861 2.064 1.419
2.064 -2.064 3.859
7.903 0.451 0.149
3.469 -3.801 2.680
6.665 -0.451 2.788
4.623 -2.064 4.058
3.218 -3.801 5.237
```